# Ba3Na7Ti3Nb7O30
Computed powder diffractogram, Cu Ka. Input: a crystal structure in the Materials Project, relaxed with PBE.

Structural model:
```
data_Ba3Na7Ti3Nb7O30
_chemical_formula_sum 'Ba3 Na7 Ti3 Nb7 O30'
_cell_length_a 8.0353
_cell_length_b 4.0179
_cell_length_c 20.1054
_cell_angle_alpha 90.00
_cell_angle_beta 90.00
_cell_angle_gamma 90.00
_space_group_name_H-M_alt 'P 1 m 1'
_space_group_IT_number 6
loop_
_space_group_symop_operation_xyz
'x,y,z'
'x,-y,z'
loop_
_atom_site_label
_atom_site_type_symbol
_atom_site_fract_x
_atom_site_fract_y
_atom_site_fract_z
_atom_site_occupancy
Ba1 Ba 0.0000 0.0000 0.0000 1
Ba2 Ba 0.0038 0.0000 0.1946 1
Ba3 Ba 0.4938 0.0000 0.1946 1
Na1 Na 0.0004 0.0000 0.5958 1
Na2 Na 0.9997 0.0000 0.7950 1
Na3 Na 0.0032 0.0000 0.3956 1
Na4 Na 0.4943 0.0000 0.3956 1
Na5 Na 0.4971 0.0000 0.5958 1
Na6 Na 0.4977 0.0000 0.7949 1
Na7 Na 0.4980 0.0000 0.9989 1
Ti1 Ti 0.2488 0.5000 0.2990 1
Ti2 Ti 0.2547 0.5000 0.0961 1
Ti3 Ti 0.7417 0.5000 0.0939 1
Nb1 Nb 0.2487 0.5000 0.4929 1
Nb2 Nb 0.2487 0.5000 0.6941 1
Nb3 Nb 0.2524 0.5000 0.8950 1
Nb4 Nb 0.7452 0.5000 0.8952 1
Nb5 Nb 0.7486 0.5000 0.2991 1
Nb6 Nb 0.7487 0.5000 0.4975 1
Nb7 Nb 0.7487 0.5000 0.6964 1
O1 O 0.2488 0.0000 0.2968 1
O2 O 0.2487 0.0000 0.4967 1
O3 O 0.2487 0.0000 0.6968 1
O4 O 0.2489 0.0000 0.8957 1
O5 O 0.2487 0.5000 0.3963 1
O6 O 0.2487 0.5000 0.5966 1
O7 O 0.2492 0.5000 0.7962 1
O8 O 0.2485 0.5000 0.9952 1
O9 O 0.2500 0.0000 0.0954 1
O10 O 0.2497 0.5000 0.1957 1
O11 O 0.4980 0.5000 0.2967 1
O12 O 0.4993 0.5000 0.0959 1
O13 O 0.4988 0.5000 0.4964 1
O14 O 0.4995 0.5000 0.6966 1
O15 O 0.4996 0.5000 0.8954 1
O16 O 0.7476 0.0000 0.0957 1
O17 O 0.7484 0.0000 0.8956 1
O18 O 0.7480 0.5000 0.1965 1
O19 O 0.7483 0.5000 0.7960 1
O20 O 0.7487 0.0000 0.2967 1
O21 O 0.7487 0.0000 0.4960 1
O22 O 0.7487 0.0000 0.6963 1
O23 O 0.7487 0.5000 0.3971 1
O24 O 0.7488 0.5000 0.5962 1
O25 O 0.7487 0.5000 0.9954 1
O26 O 0.9979 0.5000 0.6966 1
O27 O 0.9979 0.5000 0.8959 1
O28 O 0.9985 0.5000 0.0952 1
O29 O 0.9995 0.5000 0.2968 1
O30 O 0.9986 0.5000 0.4964 1
```

Main lines, most intense first (10° ≤ 2θ ≤ 90°):
| d (Å) | 2θ/deg | intensity |
| --- | --- | --- |
| 2.842 | 31.48 | 100 |
| 2.009 | 45.12 | 42 |
| 1.641 | 56.05 | 38 |
| 1.421 | 65.72 | 24 |
| 3.940 | 22.57 | 16 |
| 1.271 | 74.69 | 16 |
| 4.019 | 22.12 | 16 |
| 1.160 | 83.29 | 8 |
| 5.026 | 17.65 | 6 |
| 1.797 | 50.80 | 5 |